Starting from a DFT-relaxed cell (PBE, Alexandria), the X-ray powder pattern of Nd3Ni3Sb4 was computed for Cu Kα.
Intensities are scaled so that the largest is 100.

Cell and atoms:
```
Nd3Ni3Sb4
1.0
-4.834 4.834 4.834
4.834 -4.834 4.834
4.834 4.834 -4.834
Nd Ni Sb
6 6 8
Direct
0.125 0.750 0.875 Nd
0.250 0.625 0.375 Nd
0.375 0.250 0.625 Nd
0.625 0.375 0.250 Nd
0.750 0.875 0.125 Nd
0.875 0.125 0.750 Nd
0.125 0.875 0.250 Ni
0.250 0.125 0.875 Ni
0.375 0.625 0.750 Ni
0.625 0.750 0.375 Ni
0.750 0.375 0.625 Ni
0.875 0.250 0.125 Ni
0.000 0.352 0.500 Sb
0.000 0.852 0.500 Sb
0.148 0.148 0.148 Sb
0.352 0.500 0.000 Sb
0.500 0.000 0.352 Sb
0.500 0.000 0.852 Sb
0.648 0.648 0.648 Sb
0.852 0.500 0.000 Sb
```

Main lines, by angle (10° ≤ 2θ ≤ 80°):
2theta, I (rel.)
29.21, 63
34.72, 100
41.79, 36
43.93, 14
45.99, 18
47.98, 16
58.89, 20
60.57, 15
62.23, 10
67.07, 9
70.20, 7
71.75, 18